Entry 1:
The following is a computed X-ray powder pattern of EuCu2. It was derived from a structure optimized by DFT (PBE), using Cu Kα (weighted mean of Kα1 and Kα2).
Kinematic intensities with the Lorentz-polarization factor, no thermal factor.

Peak list (12 most intense, 10° ≤ 2θ ≤ 90°, low angle first)
(1 0 1), 2θ 23.46, I = 18; (1 1 2), 2θ 33.86, I = 31; (1 2 1), 2θ 34.36, I = 100; (0 2 2), 2θ 34.64, I = 41; (0 1 3), 2θ 38.27, I = 9; (0 3 1), 2θ 39.47, I = 15; (2 0 0), 2θ 41.00, I = 31; (1 0 3), 2θ 41.69, I = 43; (2 2 2), 2θ 54.72, I = 21; (1 4 1), 2θ 56.65, I = 9; (1 3 4), 2θ 67.01, I = 16; (3 2 1), 2θ 70.43, I = 12

Structure:
```
data_EuCu2
_chemical_formula_sum 'Eu4 Cu8'
_cell_length_a 4.4028
_cell_length_b 7.1932
_cell_length_c 7.4648
_cell_angle_alpha 90.00
_cell_angle_beta 90.00
_cell_angle_gamma 90.00
_symmetry_space_group_name_H-M 'I m m a'
_symmetry_Int_Tables_number 74
_symmetry_space_group_name_Hall '-I 2b 2'
loop_
_atom_site_label
_atom_site_fract_x
_atom_site_fract_y
_atom_site_fract_z
Eu1 0.0000 0.2500 0.0398
Cu1 0.0000 0.0516 0.6644
```

***

Entry 2:
The following is a computed X-ray powder pattern of GaAgS2O8. It was derived from a structure optimized by DFT (PBE), using Cu Kα (weighted mean of Kα1 and Kα2).
Kinematic intensities with the Lorentz-polarization factor, no thermal factor.

Peak list (12 most intense, 10° ≤ 2θ ≤ 90°, low angle first)
(1 1 0), 2θ 20.34, I = 75; (2 0 0), 2θ 22.03, I = 64; (1 1 1), 2θ 23.88, I = 75; (2 0 -1), 2θ 24.62, I = 25; (1 1 -2), 2θ 31.19, I = 100; (1 1 2), 2θ 31.96, I = 79; (0 2 0), 2θ 34.56, I = 41; (3 1 0), 2θ 37.67, I = 64; (0 2 2), 2θ 42.45, I = 29; (2 2 -2), 2θ 47.79, I = 22; (2 2 2), 2θ 48.88, I = 29; (4 2 2), 2θ 64.43, I = 21

Structure:
```
data_GaAgS2O8
_chemical_formula_sum 'Ga2 Ag2 S4 O16'
_cell_length_a 8.0766
_cell_length_b 5.1910
_cell_length_c 7.4567
_cell_angle_alpha 90.00
_cell_angle_beta 92.56
_cell_angle_gamma 90.00
_symmetry_space_group_name_H-M 'C 1 2/m 1'
_symmetry_Int_Tables_number 12
_symmetry_space_group_name_Hall '-C 2y'
loop_
_atom_site_label
_atom_site_fract_x
_atom_site_fract_y
_atom_site_fract_z
Ga1 0.0000 0.0000 0.0000
Ag1 0.0000 0.0000 0.5000
S1 0.1363 0.5000 0.7899
O1 0.0269 0.2655 0.8085
O2 0.2049 0.5000 0.6134
O3 0.2400 0.0000 0.0559
```